Record 1
Calculated powder XRD pattern of Al2SiO4F2 for Cu Kα (weighted mean of Kα1 and Kα2), from a structure optimized by DFT (PBE).

The 6 most intense peaks (10 to 90 degrees two-theta), low angle first:
2θ (°)  d [Å]  Rel. int.
23.81  3.737  74
27.60  3.232  87
30.06  2.973  100
37.66  2.389  49
42.43  2.130  56
65.03  1.434  41

Cell and atoms:
Cell: 8.8888 8.4975 4.7080 Å, 90.00 90.00 90.00°
Sites, in units of the cell vectors:
Al1 0.1305 0.0832 0.0972
Al2 0.1305 0.4168 0.0972
Al3 0.3695 0.5832 0.5972
Al4 0.3695 0.9168 0.5972
Al5 0.6305 0.0832 0.4028
Al6 0.6305 0.4168 0.4028
Al7 0.8695 0.5832 0.9028
Al8 0.8695 0.9168 0.9028
Si1 0.0601 0.7500 0.3963
Si2 0.4399 0.2500 0.8963
Si3 0.5601 0.7500 0.1037
Si4 0.9399 0.2500 0.6037
O1 0.0115 0.5929 0.2084
O2 0.0115 0.9071 0.2084
O3 0.0327 0.2500 0.2987
O4 0.2440 0.7500 0.4599
O5 0.2560 0.2500 0.9599
O6 0.4673 0.7500 0.7987
O7 0.4885 0.0929 0.7084
O8 0.4885 0.4071 0.7084
O9 0.5115 0.5929 0.2916
O10 0.5115 0.9071 0.2916
O11 0.5327 0.2500 0.2013
O12 0.7440 0.7500 0.0401
O13 0.7560 0.2500 0.5401
O14 0.9673 0.7500 0.7013
O15 0.9885 0.0929 0.7916
O16 0.9885 0.4071 0.7916
F1 0.2476 0.5557 0.9013
F2 0.2476 0.9443 0.9013
F3 0.2524 0.0557 0.4013
F4 0.2524 0.4443 0.4013
F5 0.7476 0.5557 0.5987
F6 0.7476 0.9443 0.5987
F7 0.7524 0.0557 0.0987
F8 0.7524 0.4443 0.0987

---

Record 2
Calculated powder XRD pattern of Y4AlSi2O10F5 for Cu Kα (weighted mean of Kα1 and Kα2), from a structure optimized by DFT (PBE).

The 6 most intense peaks (10 to 90 degrees two-theta), low angle first:
2θ (°)  d [Å]  Rel. int.
20.51  4.331  36
23.66  3.760  100
25.31  3.519  92
26.97  3.306  41
31.87  2.808  67
35.95  2.498  43

Cell and atoms:
Cell: 8.7644 8.7644 4.3150 Å, 98.20 98.20 118.23°
Sites, in units of the cell vectors:
Y1 0.1311 0.8689 0.0000
Y2 0.2277 0.5167 0.7026
Y3 0.5167 0.2277 0.7026
Y4 0.8689 0.1311 0.0000
Al1 0.6759 0.6759 0.8282
Si1 0.5279 0.8394 0.3383
Si2 0.8394 0.5279 0.3383
O1 0.0291 0.6085 0.5998
O2 0.3358 0.7728 0.0899
O3 0.4679 0.4679 0.8805
O4 0.4920 0.6800 0.5315
O5 0.6085 0.0291 0.5998
O6 0.6800 0.4920 0.5315
O7 0.6796 0.8624 0.1314
O8 0.7728 0.3358 0.0899
O9 0.8624 0.6796 0.1314
O10 0.8660 0.8660 0.7204
F1 0.1036 0.1036 0.1678
F2 0.1375 0.4185 0.1502
F3 0.2409 0.9708 0.5628
F4 0.4185 0.1375 0.1502
F5 0.9708 0.2409 0.5628

---

- What is the formula in the second record?
  Y4AlSi2O10F5